Theoretical X-ray powder pattern
Compound: Sr2YV2GaO7
Radiation: copper Kα
Structure: a crystal structure in Alexandria, relaxed with PBE+U
Neutral-atom scattering factors, no anomalous dispersion.

Largest 12 diffraction maxima, low angle first, 10 to 80 degrees two-theta:
d/Å, two_theta, intensity, index
4.066, 21.9, 6.0, 1 1 -1
2.919, 30.6, 29.2, 2 0 -2
2.833, 31.6, 33.4, 0 2 0
2.754, 32.5, 100.0, 5 1 1
2.310, 39.0, 9.8, 9 1 -1
2.302, 39.1, 6.6, 4 0 2
2.033, 44.6, 31.7, 2 2 -2
1.871, 48.7, 10.3, 12 0 0
1.652, 55.6, 17.3, 3 1 3
1.620, 56.8, 22.5, 5 3 1
1.562, 59.2, 7.6, 12 2 0
1.274, 74.4, 9.6, 2 4 -2

Crystal structure
```
data_Sr2YV2GaO7
_cell_length_a 23.193
_cell_length_b 5.667
_cell_length_c 5.838
_cell_angle_alpha 90.00
_cell_angle_beta 104.47
_cell_angle_gamma 90.00
_symmetry_space_group_name_H-M 'C 1 2 1'
_symmetry_Int_Tables_number 5
_symmetry_space_group_name_Hall 'C 2y'
loop_
_atom_site_label
_atom_site_type_symbol
_atom_site_fract_x
_atom_site_fract_y
_atom_site_fract_z
Sr1 Sr 0.155 0.000 0.126
Sr2 Sr 0.155 0.502 0.684
Y1 Y 0.000 0.488 0.500
Y2 Y 0.000 0.990 0.000
V1 V 0.075 0.485 0.078
V2 V 0.075 0.984 0.574
Ga1 Ga 0.250 0.021 0.675
O1 O 0.067 0.285 0.782
O2 O 0.067 0.772 0.870
O3 O 0.071 0.190 0.264
O4 O 0.071 0.677 0.362
O5 O 0.176 0.462 0.124
O6 O 0.177 0.959 0.732
O7 O 0.250 0.354 0.610
```